For Pm2Sm2Dy3, DFT lattice parameters and positions (GGA-PBE) gives the calculated PXRD pattern in this record (Cu Kα X-rays).
No peak broadening, texture or thermal motion is included.

Structural model:
```
Pm2Sm2Dy3
1.0
6.428 0.000 0.000
0.000 12.567 0.000
-3.734 0.000 5.851
Pm Sm Dy
4 4 6
Direct
0.086 0.114 0.436
0.086 0.386 0.936
0.914 0.614 0.064
0.914 0.886 0.564
0.497 0.209 0.335
0.497 0.291 0.835
0.503 0.709 0.165
0.503 0.791 0.665
0.084 0.613 0.650
0.084 0.887 0.150
0.500 0.000 0.000
0.500 0.500 0.500
0.916 0.113 0.850
0.916 0.387 0.350
```

Top 10 peaks for 10 to 90 degrees two-theta, low angle first:
| two_theta | d/Å | I_rel |
| --- | --- | --- |
| 26.17 | 3.405 | 42 |
| 28.75 | 3.105 | 34 |
| 31.36 | 2.852 | 100 |
| 31.46 | 2.844 | 45 |
| 32.95 | 2.718 | 76 |
| 33.06 | 2.709 | 32 |
| 33.53 | 2.672 | 51 |
| 33.83 | 2.650 | 18 |
| 58.94 | 1.567 | 17 |
| 60.09 | 1.540 | 26 |

For PmSm2Dy4, DFT lattice parameters and positions (GGA-PBE) gives the calculated PXRD pattern in this record (Cu Kα X-rays).
No peak broadening, texture or thermal motion is included.

Structural model:
```
PmSm2Dy4
1.0
8.414 -1.775 0.000
8.414 1.775 0.000
-4.364 0.000 7.646
Pm Sm Dy
1 2 4
Direct
0.000 0.000 0.000
0.069 0.069 0.428
0.931 0.931 0.572
0.294 0.294 0.707
0.355 0.355 0.158
0.645 0.645 0.842
0.706 0.706 0.293
```

Top 10 peaks for 10 to 90 degrees two-theta, low angle first:
| two_theta | d/Å | I_rel |
| --- | --- | --- |
| 29.90 | 2.988 | 38 |
| 31.18 | 2.869 | 51 |
| 31.31 | 2.857 | 100 |
| 32.59 | 2.748 | 45 |
| 32.87 | 2.725 | 45 |
| 41.52 | 2.175 | 14 |
| 47.82 | 1.902 | 20 |
| 51.49 | 1.775 | 13 |
| 61.51 | 1.508 | 29 |
| 62.27 | 1.491 | 14 |

For PmSm4Dy15, DFT lattice parameters and positions (GGA-PBE) gives the calculated PXRD pattern in this record (Cu Kα X-rays).
No peak broadening, texture or thermal motion is included.

Structural model:
```
PmSm4Dy15
1.0
5.044 0.000 0.000
0.000 5.044 0.000
0.000 0.000 25.160
Pm Sm Dy
1 4 15
Direct
0.000 0.000 0.000
0.000 0.000 0.200
0.000 0.000 0.400
0.000 0.000 0.600
0.000 0.000 0.800
0.000 0.500 0.100
0.000 0.500 0.300
0.000 0.500 0.500
0.000 0.500 0.700
0.000 0.500 0.900
0.500 0.000 0.100
0.500 0.000 0.300
0.500 0.000 0.500
0.500 0.000 0.700
0.500 0.000 0.900
0.500 0.500 0.000
0.500 0.500 0.200
0.500 0.500 0.400
0.500 0.500 0.600
0.500 0.500 0.800
```

Top 10 peaks for 10 to 90 degrees two-theta, low angle first:
| two_theta | d/Å | I_rel |
| --- | --- | --- |
| 30.73 | 2.910 | 100 |
| 35.63 | 2.520 | 51 |
| 51.27 | 1.782 | 36 |
| 60.93 | 1.521 | 29 |
| 61.05 | 1.518 | 14 |
| 63.99 | 1.455 | 12 |
| 83.56 | 1.157 | 6 |
| 83.66 | 1.156 | 12 |
| 86.26 | 1.128 | 11 |
| 86.44 | 1.126 | 6 |

For Pm2Sm5Dy12, DFT lattice parameters and positions (GGA-PBE) gives the calculated PXRD pattern in this record (Cu Kα X-rays).
No peak broadening, texture or thermal motion is included.

Structural model:
```
Pm2Sm5Dy12
1.0
6.281 0.000 0.000
1.638 8.747 0.000
1.977 4.007 11.275
Pm Sm Dy
2 5 12
Direct
0.243 0.003 0.065
0.757 0.997 0.935
0.139 0.660 0.993
0.283 0.175 0.489
0.500 0.500 0.500
0.717 0.825 0.511
0.861 0.340 0.007
0.041 0.575 0.327
0.188 0.759 0.668
0.227 0.899 0.360
0.268 0.039 0.786
0.337 0.293 0.176
0.413 0.373 0.837
0.587 0.627 0.163
0.663 0.707 0.824
0.732 0.961 0.214
0.773 0.101 0.640
0.812 0.241 0.332
0.959 0.425 0.673
```

Top 10 peaks for 10 to 90 degrees two-theta, low angle first:
| two_theta | d/Å | I_rel |
| --- | --- | --- |
| 28.92 | 3.087 | 24 |
| 29.14 | 3.065 | 45 |
| 30.81 | 2.902 | 60 |
| 32.30 | 2.772 | 100 |
| 32.36 | 2.766 | 46 |
| 32.49 | 2.756 | 46 |
| 33.66 | 2.663 | 16 |
| 49.72 | 1.834 | 18 |
| 55.67 | 1.651 | 19 |
| 59.65 | 1.550 | 19 |

For Pm10SmDy6, DFT lattice parameters and positions (GGA-PBE) gives the calculated PXRD pattern in this record (Cu Kα X-rays).
No peak broadening, texture or thermal motion is included.

Structural model:
```
Pm10SmDy6
1.0
9.818 0.000 0.000
-4.909 8.502 0.000
0.000 0.000 6.900
Pm Sm Dy
10 1 6
Direct
0.000 0.275 0.316
0.000 0.725 0.684
0.275 0.000 0.316
0.275 0.275 0.684
0.333 0.667 0.000
0.333 0.667 0.500
0.667 0.333 0.000
0.667 0.333 0.500
0.725 0.000 0.684
0.725 0.725 0.316
0.000 0.000 0.000
0.000 0.373 0.806
0.000 0.627 0.194
0.373 0.000 0.806
0.373 0.373 0.194
0.627 0.000 0.194
0.627 0.627 0.806
```

Top 10 peaks for 10 to 90 degrees two-theta, low angle first:
| two_theta | d/Å | I_rel |
| --- | --- | --- |
| 30.69 | 2.913 | 44 |
| 31.57 | 2.834 | 79 |
| 31.70 | 2.822 | 100 |
| 40.42 | 2.231 | 11 |
| 45.35 | 2.000 | 26 |
| 48.50 | 1.877 | 13 |
| 56.28 | 1.635 | 24 |
| 56.55 | 1.627 | 18 |
| 59.03 | 1.565 | 10 |
| 62.27 | 1.491 | 11 |

For Pm12SmDy2, DFT lattice parameters and positions (GGA-PBE) gives the calculated PXRD pattern in this record (Cu Kα X-rays).
No peak broadening, texture or thermal motion is included.

Structural model:
```
Pm12SmDy2
1.0
6.522 0.000 0.000
0.000 6.522 0.000
0.000 0.000 25.475
Pm Sm Dy
24 2 4
Direct
0.067 0.567 0.115
0.067 0.933 0.885
0.082 0.582 0.438
0.082 0.918 0.562
0.250 0.250 0.216
0.250 0.250 0.338
0.250 0.250 0.662
0.250 0.250 0.784
0.418 0.582 0.562
0.418 0.918 0.438
0.433 0.567 0.885
0.433 0.933 0.115
0.567 0.067 0.885
0.567 0.433 0.115
0.582 0.082 0.562
0.582 0.418 0.438
0.750 0.750 0.216
0.750 0.750 0.338
0.750 0.750 0.662
0.750 0.750 0.784
0.918 0.082 0.438
0.918 0.418 0.562
0.933 0.067 0.115
0.933 0.433 0.885
0.250 0.750 0.000
0.750 0.250 0.000
0.250 0.750 0.273
0.250 0.750 0.727
0.750 0.250 0.273
0.750 0.250 0.727
```

Top 10 peaks for 10 to 90 degrees two-theta, low angle first:
| two_theta | d/Å | I_rel |
| --- | --- | --- |
| 28.25 | 3.159 | 75 |
| 29.34 | 3.044 | 56 |
| 30.82 | 2.901 | 93 |
| 31.31 | 2.857 | 100 |
| 31.61 | 2.831 | 49 |
| 32.46 | 2.759 | 84 |
| 37.41 | 2.404 | 51 |
| 39.06 | 2.306 | 51 |
| 55.10 | 1.667 | 52 |
| 65.98 | 1.416 | 37 |

What did the first record say?
For Pm2Sm2Dy3, DFT lattice parameters and positions (GGA-PBE) gives the calculated PXRD pattern in this record (Cu Kα X-rays).
No peak broadening, texture or thermal motion is included.

Structural model:
```
Pm2Sm2Dy3
1.0
6.428 0.000 0.000
0.000 12.567 0.000
-3.734 0.000 5.851
Pm Sm Dy
4 4 6
Direct
0.086 0.114 0.436
0.086 0.386 0.936
0.914 0.614 0.064
0.914 0.886 0.564
0.497 0.209 0.335
0.497 0.291 0.835
0.503 0.709 0.165
0.503 0.791 0.665
0.084 0.613 0.650
0.084 0.887 0.150
0.500 0.000 0.000
0.500 0.500 0.500
0.916 0.113 0.850
0.916 0.387 0.350
```

Top 10 peaks for 10 to 90 degrees two-theta, low angle first:
| two_theta | d/Å | I_rel |
| --- | --- | --- |
| 26.17 | 3.405 | 42 |
| 28.75 | 3.105 | 34 |
| 31.36 | 2.852 | 100 |
| 31.46 | 2.844 | 45 |
| 32.95 | 2.718 | 76 |
| 33.06 | 2.709 | 32 |
| 33.53 | 2.672 | 51 |
| 33.83 | 2.650 | 18 |
| 58.94 | 1.567 | 17 |
| 60.09 | 1.540 | 26 |